Structure and computed XRD peak list of DyY7Th3 (a PBE-relaxed structure; Cu Ka).
No peak broadening, texture or thermal motion is included.

abc: 6.460 6.723 8.698
angles: 101.38 97.00 96.79
Element x y z (fractional)
Dy1 0.000 0.000 0.000
Y1 0.000 0.500 0.000
Y2 0.069 0.215 0.644
Y3 0.206 0.732 0.705
Y4 0.492 0.232 0.924
Y5 0.508 0.768 0.076
Y6 0.794 0.268 0.295
Y7 0.931 0.785 0.356
Th1 0.325 0.446 0.337
Th2 0.500 0.000 0.500
Th3 0.675 0.554 0.663

Principal peaks in the range 10 to 80 degrees two-theta, by angle:
d_spacing	I (rel.)	(hkl)
5.477	19	1 0 -1
3.473	14	1 1 1
3.237	18	0 1 2
3.031	15	2 -1 0
2.896	18	0 2 -2
2.832	16	2 0 1
2.814	100	1 2 -1
2.785	44	-1 2 1
2.738	41	2 0 -2
2.687	22	1 1 2